The following is a theoretical powder XRD pattern of Sc2Al2Si2C. It was derived from the GGA-PBE geometry in Alexandria, using a wavelength of 1.5418 Å.

Cell and atoms:
abc: 4.0003 4.0003 13.9344
angles: 90.00 90.00 90.00
Space group I4/mmm (No. 139)
Unique sites:
Sc: 0.0000 0.0000 0.1612
Al: 0.0000 0.5000 0.0000
Si: 0.0000 0.0000 0.3635
C: 0.0000 0.0000 0.0000

Peak list (10 most intense, 10° ≤ 2θ ≤ 90°, in order of falling intensity)
- d = 2.196 Å, 41.11 deg, I = 100.0, (1 1 4)
- d = 2.000 Å, 45.34 deg, I = 69.0, (2 0 0)
- d = 2.621 Å, 34.21 deg, I = 60.1, (1 1 2)
- d = 2.829 Å, 31.63 deg, I = 49.1, (1 1 0)
- d = 2.322 Å, 38.77 deg, I = 38.9, (0 0 6)
- d = 1.516 Å, 61.15 deg, I = 36.8, (2 0 6)
- d = 1.189 Å, 80.84 deg, I = 26.5, (3 1 4)
- d = 1.414 Å, 66.06 deg, I = 20.9, (2 2 0)
- d = 1.208 Å, 79.32 deg, I = 20.2, (2 2 6)
- d = 2.287 Å, 39.40 deg, I = 19.8, (1 0 5)